Computed powder diffractogram of Ba2PaS4 for Cu Kα, from a cell relaxed with PBE.
Intensities are scaled so that the largest is 100.

Crystal structure
Cell: 5.270 5.270 15.770 Å, 90.00 90.00 90.00°
Space group I4/mmm (No. 139)
Asymmetric unit:
Ba1 0.000 0.000 0.136 [4 per cell]
Pa1 0.000 0.000 0.500 [2 per cell]
S1 0.000 0.000 0.331 [4 per cell]
S2 0.000 0.500 0.000 [4 per cell]

Peak list (10 most intense, 5° ≤ 2θ ≤ 70°, most intense first)
| 2θ/deg | d_spacing | I (rel.) | h k l |
| --- | --- | --- | --- |
| 23.9 | 3.724 | 100.0 | 1 1 0 |
| 34.0 | 2.634 | 38.6 | 2 0 0 |
| 42.0 | 2.150 | 35.4 | 2 1 3 |
| 33.1 | 2.706 | 26.0 | 1 0 5 |
| 11.2 | 7.885 | 25.8 | 0 0 2 |
| 48.9 | 1.862 | 22.4 | 2 2 0 |
| 48.2 | 1.888 | 16.3 | 2 1 5 |
| 55.1 | 1.666 | 15.4 | 3 1 0 |
| 66.4 | 1.408 | 12.0 | 3 2 3 |
| 58.5 | 1.578 | 7.6 | 2 0 8 |